Diffraction record for LiNi6P2. The X-ray diffraction stick pattern is calculated, not measured: it uses a cell relaxed with PBE and λ = 1.5418 Å (Cu Kα).
Peak positions follow from Bragg's law for the DFT cell and can differ from measured ones.

Structural model:
a b c (Å): 3.6763 3.6763 7.9422
angles (deg): 90.00 90.00 90.00
Fractional positions:
Li 0.0000 0.0000 0.0000
Ni 0.0000 0.0000 0.5000
Ni 0.0000 0.5000 0.2843
Ni 0.0000 0.5000 0.7157
Ni 0.5000 0.0000 0.2843
Ni 0.5000 0.0000 0.7157
Ni 0.5000 0.5000 0.5000
P 0.5000 0.5000 0.1383
P 0.5000 0.5000 0.8617

Top 12 peaks for 15° ≤ 2θ ≤ 90°, sorted by position:
two_theta  I/Imax  index
22.39  13  0 0 2
24.21  6  1 0 0
41.52  100  1 1 2
45.69  9  0 0 4
49.12  50  1 1 3
49.59  46  2 0 0
51.00  8  2 0 1
58.07  9  0 0 5
69.71  9  2 0 4
72.76  13  2 2 0
79.80  14  2 0 5
87.41  20  3 1 2